1.
# Li2UN2
Computed X-ray diffraction stick pattern, Cu Ka. Input: a cell relaxed with GGA-PBE.
Intensities are scaled so that the largest is 100.

Structural model:
abc: 3.4930 3.4930 5.5452
angles: 90.00 90.00 120.00
Space group P-3m1 (No. 164)
One atom of each set of equivalent atoms:
Li  0.3333  0.6667  0.1059 x2
U  0.0000  0.0000  0.5000 x1
N  0.3333  0.6667  0.7257 x2

Most intense lines, 2θ = 10–90°, low angle first:
| (hkl) | 2θ/deg | d/Å | intensity |
| --- | --- | --- | --- |
| 0 0 1 | 15.98 | 5.545 | 93 |
| 1 0 0 | 29.53 | 3.025 | 57 |
| 0 1 1 | 33.75 | 2.656 | 100 |
| 0 1 2 | 44.32 | 2.044 | 51 |
| 1 1 1 | 55.13 | 1.666 | 24 |
| 1 0 3 | 58.52 | 1.577 | 22 |

=====

2.
# CeSe2
Computed X-ray diffraction stick pattern, Cu Ka. Input: a cell relaxed with GGA-PBE.
Intensities are scaled so that the largest is 100.

Structural model:
abc: 7.162 6.883 6.915
angles: 90.00 90.00 90.00
Space group Pca2_1 (No. 29)
One atom of each set of equivalent atoms:
Ce  0.047  0.223  0.000 x4
Se  0.136  0.434  0.648 x4
Se  0.247  0.947  0.255 x4

Most intense lines, 2θ = 10–90°, low angle first:
| (hkl) | 2θ/deg | d/Å | intensity |
| --- | --- | --- | --- |
| 1 1 1 | 22.05 | 4.032 | 100 |
| 2 0 2 | 36.15 | 2.485 | 69 |
| 0 2 2 | 36.85 | 2.439 | 43 |
| 2 2 1 | 38.52 | 2.337 | 35 |
| 1 1 3 | 43.28 | 2.091 | 27 |
| 1 3 1 | 43.43 | 2.083 | 27 |

=====

3.
# CaMgTl2
Computed X-ray diffraction stick pattern, Cu Ka. Input: a cell relaxed with GGA-PBE.
Intensities are scaled so that the largest is 100.

Structural model:
abc: 7.548 7.548 7.548
angles: 90.00 90.00 90.00
Space group Fm-3m (No. 225)
One atom of each set of equivalent atoms:
Ca  0.000  0.000  0.000 x4
Mg  0.000  0.000  0.500 x4
Tl  0.250  0.250  0.250 x8

Most intense lines, 2θ = 10–90°, low angle first:
| (hkl) | 2θ/deg | d/Å | intensity |
| --- | --- | --- | --- |
| 2 0 0 | 23.57 | 3.774 | 60 |
| 2 2 0 | 33.58 | 2.669 | 100 |
| 2 2 2 | 41.44 | 2.179 | 19 |
| 4 0 0 | 48.23 | 1.887 | 18 |
| 4 2 0 | 54.36 | 1.688 | 27 |
| 4 2 2 | 60.05 | 1.541 | 38 |

=====

4.
# ZnOs3
Computed X-ray diffraction stick pattern, Cu Ka. Input: a cell relaxed with GGA-PBE.
Intensities are scaled so that the largest is 100.

Structural model:
abc: 5.4975 5.4975 4.3621
angles: 90.00 90.00 120.00
Space group P6_3/mmc (No. 194)
One atom of each set of equivalent atoms:
Zn  0.3333  0.6667  0.2500 x2
Os  0.1712  0.3424  0.7500 x6

Most intense lines, 2θ = 10–90°, low angle first:
| (hkl) | 2θ/deg | d/Å | intensity |
| --- | --- | --- | --- |
| 2 0 0 | 37.79 | 2.380 | 24 |
| 0 0 2 | 41.40 | 2.181 | 25 |
| 2 0 1 | 43.30 | 2.090 | 100 |
| 2 2 0 | 68.24 | 1.374 | 17 |
| 2 0 3 | 76.82 | 1.241 | 19 |
| 2 2 2 | 83.06 | 1.163 | 20 |

=====

5.
# CeFeNi8Ge4
Computed X-ray diffraction stick pattern, Cu Ka. Input: a cell relaxed with GGA-PBE.
Intensities are scaled so that the largest is 100.

Structural model:
abc: 11.337 11.410 11.906
angles: 90.00 90.00 90.00
Space group Fmm2 (No. 42)
One atom of each set of equivalent atoms:
Ce  0.250  0.250  0.000 x8
Fe  0.121  0.000  0.431 x8
Ni  0.000  0.000  0.251 x4
Ni  0.000  0.000  0.752 x4
Ni  0.000  0.123  0.572 x8
Ni  0.000  0.123  0.934 x8
Ni  0.115  0.182  0.752 x16
Ni  0.124  0.000  0.071 x8
Ni  0.181  0.115  0.253 x16
Ge  0.000  0.175  0.129 x8
Ge  0.000  0.177  0.375 x8
Ge  0.174  0.000  0.874 x8
Ge  0.175  0.000  0.631 x8

Most intense lines, 2θ = 10–90°, low angle first:
| (hkl) | 2θ/deg | d/Å | intensity |
| --- | --- | --- | --- |
| 0 2 4 | 34.00 | 2.637 | 38 |
| 2 2 4 | 37.60 | 2.392 | 73 |
| 2 4 2 | 38.43 | 2.342 | 69 |
| 4 2 2 | 38.56 | 2.335 | 67 |
| 3 1 5 | 45.70 | 1.985 | 100 |
| 3 5 1 | 47.13 | 1.928 | 47 |

=====

6.
# PrMnGa
Computed X-ray diffraction stick pattern, Cu Ka. Input: a cell relaxed with GGA-PBE.
Intensities are scaled so that the largest is 100.

Structural model:
abc: 4.273 9.396 6.462
angles: 90.00 90.00 90.00
Space group Imma (No. 74)
One atom of each set of equivalent atoms:
Pr  0.000  0.000  0.000 x4
Mn  0.250  0.250  0.250 x4
Ga  0.000  0.250  0.618 x4

Most intense lines, 2θ = 10–90°, low angle first:
| (hkl) | 2θ/deg | d/Å | intensity |
| --- | --- | --- | --- |
| 1 0 1 | 24.98 | 3.564 | 18 |
| 1 2 1 | 31.51 | 2.840 | 100 |
| 0 2 2 | 33.66 | 2.662 | 40 |
| 0 4 0 | 38.32 | 2.349 | 28 |
| 1 0 3 | 47.25 | 1.924 | 15 |
| 2 0 2 | 51.28 | 1.782 | 20 |

=====

7.
# B8O
Computed X-ray diffraction stick pattern, Cu Ka. Input: a cell relaxed with GGA-PBE.
Intensities are scaled so that the largest is 100.

Structural model:
abc: 8.797 5.318 9.146
angles: 90.00 110.23 90.00
Space group Cm (No. 8)
One atom of each set of equivalent atoms:
B  0.000  0.000  0.000 x2
B  0.000  0.166  0.833 x4
B  0.002  0.500  0.495 x2
B  0.003  0.331  0.326 x4
B  0.163  0.500  0.667 x2
B  0.165  0.335  0.838 x4
B  0.167  0.170  0.322 x4
B  0.169  0.000  0.157 x2
B  0.292  0.238  0.732 x4
B  0.294  0.000  0.488 x2
B  0.297  0.500  0.014 x2
B  0.298  0.281  0.219 x4
B  0.371  0.500  0.669 x2
B  0.372  0.240  0.935 x4
B  0.373  0.265  0.426 x4
B  0.375  0.000  0.166 x2
O  0.263  0.000  0.640 x2
O  0.400  0.500  0.518 x2
O  0.407  0.000  0.020 x2

Most intense lines, 2θ = 10–90°, low angle first:
| (hkl) | 2θ/deg | d/Å | intensity |
| --- | --- | --- | --- |
| 1 1 -1 | 20.64 | 4.303 | 19 |
| 2 0 0 | 21.53 | 4.127 | 60 |
| 1 1 1 | 24.14 | 3.687 | 17 |
| 2 0 2 | 34.96 | 2.566 | 100 |
| 0 2 2 | 39.89 | 2.260 | 48 |
| 2 0 -4 | 40.11 | 2.248 | 23 |

=====

8.
# CdIO
Computed X-ray diffraction stick pattern, Cu Ka. Input: a cell relaxed with GGA-PBE.
Intensities are scaled so that the largest is 100.

Structural model:
abc: 6.886 10.389 7.548
angles: 90.00 90.00 90.00
Space group Pbca (No. 61)
One atom of each set of equivalent atoms:
Cd  0.207  0.008  0.128 x8
I  0.062  0.692  0.893 x8
O  0.112  0.578  0.360 x8

Most intense lines, 2θ = 10–90°, low angle first:
| (hkl) | 2θ/deg | d/Å | intensity |
| --- | --- | --- | --- |
| 2 1 0 | 27.29 | 3.268 | 23 |
| 1 1 2 | 28.30 | 3.153 | 70 |
| 2 2 0 | 31.20 | 2.867 | 100 |
| 1 2 2 | 32.07 | 2.791 | 75 |
| 1 4 2 | 44.33 | 2.043 | 18 |
| 3 0 2 | 46.30 | 1.961 | 29 |

=====

Repeat the seventh record exactly.
# B8O
Computed X-ray diffraction stick pattern, Cu Ka. Input: a cell relaxed with GGA-PBE.
Intensities are scaled so that the largest is 100.

Structural model:
abc: 8.797 5.318 9.146
angles: 90.00 110.23 90.00
Space group Cm (No. 8)
One atom of each set of equivalent atoms:
B  0.000  0.000  0.000 x2
B  0.000  0.166  0.833 x4
B  0.002  0.500  0.495 x2
B  0.003  0.331  0.326 x4
B  0.163  0.500  0.667 x2
B  0.165  0.335  0.838 x4
B  0.167  0.170  0.322 x4
B  0.169  0.000  0.157 x2
B  0.292  0.238  0.732 x4
B  0.294  0.000  0.488 x2
B  0.297  0.500  0.014 x2
B  0.298  0.281  0.219 x4
B  0.371  0.500  0.669 x2
B  0.372  0.240  0.935 x4
B  0.373  0.265  0.426 x4
B  0.375  0.000  0.166 x2
O  0.263  0.000  0.640 x2
O  0.400  0.500  0.518 x2
O  0.407  0.000  0.020 x2

Most intense lines, 2θ = 10–90°, low angle first:
| (hkl) | 2θ/deg | d/Å | intensity |
| --- | --- | --- | --- |
| 1 1 -1 | 20.64 | 4.303 | 19 |
| 2 0 0 | 21.53 | 4.127 | 60 |
| 1 1 1 | 24.14 | 3.687 | 17 |
| 2 0 2 | 34.96 | 2.566 | 100 |
| 0 2 2 | 39.89 | 2.260 | 48 |
| 2 0 -4 | 40.11 | 2.248 | 23 |